No. 1
Th4B3SbRh12: computed XRD peak list (Cu Kα (weighted mean of Kα1 and Kα2)), based on a structure optimized by DFT (GGA-PBE).

Crystal structure
```
Th4B3SbRh12
1.0
-4.4151 4.4151 4.4151
4.4151 -4.4151 4.4151
4.4151 4.4151 -4.4151
Th B Sb Rh
4 3 1 12
Direct
0.0000 0.0000 0.5000
0.0000 0.5000 0.0000
0.5000 0.0000 0.0000
0.5000 0.5000 0.5000
0.0000 0.5000 0.5000
0.5000 0.0000 0.5000
0.5000 0.5000 0.0000
0.0000 0.0000 0.0000
0.0000 0.2803 0.2803
0.0000 0.7197 0.7197
0.2500 0.5000 0.7500
0.2500 0.7500 0.5000
0.2803 0.0000 0.2803
0.2803 0.2803 0.0000
0.5000 0.2500 0.7500
0.5000 0.7500 0.2500
0.7197 0.0000 0.7197
0.7197 0.7197 0.0000
0.7500 0.2500 0.5000
0.7500 0.5000 0.2500
```

Top 10 peaks for 2θ = 5–70°, by intensity:
2.549 Å, intensity 1000; 2.208 Å, intensity 644; 1.561 Å, intensity 410; 3.122 Å, intensity 273; 1.802 Å, intensity 98; 1.396 Å, intensity 71; 4.415 Å, intensity 63; 1.974 Å, intensity 53; 2.360 Å, intensity 51; 1.883 Å, intensity 40

No. 2
NdSmPd4: computed XRD peak list (Cu Kα (weighted mean of Kα1 and Kα2)), based on a structure optimized by DFT (GGA-PBE).

Crystal structure
```
NdSmPd4
1.0
2.1339 -9.9010 0.0000
2.1339 9.9010 0.0000
0.0000 0.0000 5.8721
Nd Sm Pd
2 2 8
Direct
0.2236 0.7764 0.7500
0.7764 0.2236 0.2500
0.0771 0.9229 0.2500
0.9229 0.0771 0.7500
0.0724 0.9276 0.7500
0.3546 0.6454 0.0127
0.3546 0.6454 0.4873
0.5000 0.5000 0.0000
0.5000 0.5000 0.5000
0.6454 0.3546 0.5127
0.6454 0.3546 0.9873
0.9276 0.0724 0.2500
```

Top 10 peaks for 2θ = 5–70°, by intensity:
2.401 Å, intensity 1000; 2.358 Å, intensity 984; 2.194 Å, intensity 533; 2.134 Å, intensity 385; 1.530 Å, intensity 337; 3.059 Å, intensity 247; 1.415 Å, intensity 199; 1.892 Å, intensity 153; 9.901 Å, intensity 147; 3.401 Å, intensity 121

No. 3
Ac4Pd2Au: computed XRD peak list (Cu Kα (weighted mean of Kα1 and Kα2)), based on a structure optimized by DFT (GGA-PBE).

Crystal structure
```
Ac4Pd2Au
1.0
-4.9343 4.9343 4.9697
4.9343 -4.9343 4.9697
4.9343 4.9343 -4.9697
Ac Pd Au
8 4 2
Direct
0.2026 0.2601 0.5575
0.2026 0.6451 0.9425
0.2601 0.2026 0.0575
0.3549 0.7974 0.5575
0.6451 0.2026 0.4425
0.7399 0.7974 0.9425
0.7974 0.3549 0.0575
0.7974 0.7399 0.4425
0.0000 0.5000 0.5000
0.5000 0.0000 0.0000
0.5000 0.5000 0.0000
0.5000 0.5000 0.5000
0.1250 0.8750 0.2500
0.8750 0.1250 0.7500
```

Top 10 peaks for 2θ = 5–70°, by intensity:
3.494 Å, intensity 1000; 3.141 Å, intensity 893; 2.639 Å, intensity 651; 2.108 Å, intensity 532; 3.123 Å, intensity 522; 2.467 Å, intensity 409; 1.943 Å, intensity 402; 2.644 Å, intensity 298; 4.934 Å, intensity 262; 2.024 Å, intensity 241

No. 4
Tl2ZnSb: computed XRD peak list (Cu Kα (weighted mean of Kα1 and Kα2)), based on a structure optimized by DFT (GGA-PBE).

Crystal structure
```
Tl2ZnSb
1.0
3.4580 0.0000 0.0000
0.0000 4.4101 0.0000
-1.5758 0.0000 7.3648
Tl Zn Sb
2 1 1
Direct
0.0000 0.0000 0.0000
0.3448 0.5000 0.6852
0.5899 0.5000 0.2024
0.7181 0.0000 0.4220
```

Top 10 peaks for 2θ = 5–70°, by intensity:
2.827 Å, intensity 1000; 2.683 Å, intensity 531; 2.668 Å, intensity 471; 2.800 Å, intensity 432; 2.855 Å, intensity 424; 3.784 Å, intensity 364; 2.205 Å, intensity 295; 1.732 Å, intensity 212; 1.745 Å, intensity 203; 1.678 Å, intensity 182

No. 5
CrW3: computed XRD peak list (Cu Kα (weighted mean of Kα1 and Kα2)), based on a structure optimized by DFT (GGA-PBE).

Crystal structure
```
CrW3
1.0
4.4252 -4.3950 0.0000
4.4252 4.3950 0.0000
-0.0178 0.0000 6.2472
Cr W
4 12
Direct
0.0000 0.0000 0.0000
0.0001 0.0001 0.4971
0.2489 0.2489 0.2477
0.4987 0.4987 0.9995
0.0017 0.4962 0.4965
0.0026 0.4961 0.0014
0.2461 0.7535 0.2466
0.2467 0.2467 0.7516
0.2468 0.7516 0.7512
0.4962 0.0017 0.4965
0.4961 0.0026 0.0014
0.4971 0.4971 0.4954
0.7514 0.7514 0.2464
0.7516 0.2468 0.7512
0.7515 0.7515 0.7509
0.7535 0.2461 0.2466
```

Top 10 peaks for 2θ = 5–70°, by intensity:
2.210 Å, intensity 1000; 2.205 Å, intensity 662; 2.197 Å, intensity 327; 1.559 Å, intensity 223; 1.562 Å, intensity 112; 4.395 Å, intensity 87; 4.415 Å, intensity 66; 2.553 Å, intensity 57; 6.240 Å, intensity 52; 2.794 Å, intensity 36

No. 6
Mn7Re: computed XRD peak list (Cu Kα (weighted mean of Kα1 and Kα2)), based on a structure optimized by DFT (GGA-PBE).

Crystal structure
```
Mn7Re
1.0
0.0000 3.6016 3.6016
3.6016 0.0000 3.6016
3.6016 3.6016 0.0000
Mn Re
7 1
Direct
0.0000 0.0000 0.0000
0.0000 0.0000 0.5000
0.0000 0.5000 0.0000
0.0000 0.5000 0.5000
0.5000 0.0000 0.0000
0.5000 0.0000 0.5000
0.5000 0.5000 0.0000
0.5000 0.5000 0.5000
```

Top 10 peaks for 2θ = 5–70°, by intensity:
2.079 Å, intensity 1000; 1.801 Å, intensity 468; 4.159 Å, intensity 306; 2.172 Å, intensity 175; 3.602 Å, intensity 163; 2.547 Å, intensity 135; 1.653 Å, intensity 78; 1.611 Å, intensity 72; 1.386 Å, intensity 60; 1.470 Å, intensity 54

No. 7
La2Ga2Cu15: computed XRD peak list (Cu Kα (weighted mean of Kα1 and Kα2)), based on a structure optimized by DFT (GGA-PBE).

Crystal structure
```
La2Ga2Cu15
1.0
4.3741 2.5254 4.2487
-4.3741 2.5254 4.2487
0.0000 -5.0508 4.2487
La Ga Cu
2 2 15
Direct
0.1502 0.1502 0.1502
0.8498 0.8498 0.8498
0.3983 0.3983 0.3983
0.6017 0.6017 0.6017
0.0000 0.5000 0.5000
0.1562 0.1562 0.6508
0.1562 0.6508 0.1562
0.2033 0.5000 0.7967
0.2033 0.7967 0.5000
0.3492 0.8438 0.8438
0.5000 0.0000 0.5000
0.5000 0.2033 0.7967
0.5000 0.5000 0.0000
0.5000 0.7967 0.2033
0.6508 0.1562 0.1562
0.7967 0.2033 0.5000
0.7967 0.5000 0.2033
0.8438 0.3492 0.8438
0.8438 0.8438 0.3492
```

Top 10 peaks for 2θ = 5–70°, by intensity:
2.171 Å, intensity 1000; 2.187 Å, intensity 653; 2.525 Å, intensity 423; 1.945 Å, intensity 395; 2.439 Å, intensity 343; 2.124 Å, intensity 323; 1.525 Å, intensity 257; 3.048 Å, intensity 212; 2.130 Å, intensity 197; 1.379 Å, intensity 156

No. 8
Dy2YHfAs4: computed XRD peak list (Cu Kα (weighted mean of Kα1 and Kα2)), based on a structure optimized by DFT (GGA-PBE).

Crystal structure
```
Dy2YHfAs4
1.0
6.9893 0.0000 0.0000
0.0000 4.0321 0.0000
-2.3074 0.0000 6.5989
Dy Y Hf As
2 1 1 4
Direct
0.0000 0.0000 0.0000
0.0000 0.5000 0.5000
0.5000 0.0000 0.5000
0.5000 0.5000 0.0000
0.2564 0.5000 0.2429
0.2623 0.0000 0.7627
0.7377 0.0000 0.2373
0.7436 0.5000 0.7571
```

Top 10 peaks for 2θ = 5–70°, by intensity:
2.854 Å, intensity 1000; 2.017 Å, intensity 613; 3.296 Å, intensity 185; 1.646 Å, intensity 129; 1.650 Å, intensity 127; 2.023 Å, intensity 122; 1.428 Å, intensity 79; 1.720 Å, intensity 61; 1.425 Å, intensity 39; 6.599 Å, intensity 35

No. 9
LaIn4Ir2: computed XRD peak list (Cu Kα (weighted mean of Kα1 and Kα2)), based on a structure optimized by DFT (GGA-PBE).

Crystal structure
```
LaIn4Ir2
1.0
18.5651 0.0000 0.0000
0.0000 4.5747 0.0000
0.0000 0.0000 7.3024
La In Ir
4 16 8
Direct
0.1405 0.2500 0.0379
0.3595 0.7500 0.5379
0.6405 0.2500 0.4621
0.8595 0.7500 0.9621
0.0340 0.7500 0.8515
0.0699 0.2500 0.5021
0.1864 0.7500 0.3367
0.1916 0.7500 0.7428
0.3084 0.2500 0.2428
0.3136 0.2500 0.8367
0.4301 0.7500 0.0021
0.4660 0.2500 0.3515
0.5340 0.7500 0.6485
0.5699 0.2500 0.9979
0.6864 0.7500 0.1633
0.6916 0.7500 0.7572
0.8084 0.2500 0.2572
0.8136 0.2500 0.6633
0.9301 0.7500 0.4979
0.9660 0.2500 0.1485
0.0415 0.7500 0.2445
0.2184 0.2500 0.5411
0.2816 0.7500 0.0411
0.4585 0.2500 0.7445
0.5415 0.7500 0.2555
0.7184 0.2500 0.9589
0.7816 0.7500 0.4589
0.9585 0.2500 0.7555
```

Top 10 peaks for 2θ = 5–70°, by intensity:
2.728 Å, intensity 1000; 2.096 Å, intensity 694; 2.682 Å, intensity 664; 2.287 Å, intensity 593; 2.493 Å, intensity 326; 2.563 Å, intensity 216; 1.685 Å, intensity 198; 1.466 Å, intensity 190; 2.264 Å, intensity 174; 1.488 Å, intensity 170

No. 10
LaPmBiAs: computed XRD peak list (Cu Kα (weighted mean of Kα1 and Kα2)), based on a structure optimized by DFT (GGA-PBE).

Crystal structure
```
LaPmBiAs
1.0
2.2247 1.2844 7.3728
-2.2247 1.2844 7.3728
0.0000 -2.5688 7.3728
La Pm Bi As
1 1 1 1
Direct
0.0000 0.0000 0.0000
0.4859 0.4859 0.4859
0.2407 0.2407 0.2407
0.7446 0.7446 0.7446
```

Top 10 peaks for 2θ = 5–70°, by intensity:
3.161 Å, intensity 1000; 2.225 Å, intensity 388; 2.246 Å, intensity 373; 1.819 Å, intensity 207; 1.408 Å, intensity 179; 1.419 Å, intensity 161; 1.581 Å, intensity 125; 3.796 Å, intensity 96; 2.906 Å, intensity 92; 1.843 Å, intensity 63

No. 11
TbHf3Sc7: computed XRD peak list (Cu Kα (weighted mean of Kα1 and Kα2)), based on a structure optimized by DFT (GGA-PBE).

Crystal structure
```
TbHf3Sc7
1.0
6.4373 0.0000 0.0000
-3.2187 5.5749 0.0000
0.0000 0.0000 7.7821
Tb Hf Sc
1 3 7
Direct
0.0000 0.0000 0.0000
0.1686 0.3372 0.6593
0.1686 0.8314 0.6593
0.6628 0.8314 0.6593
0.0024 0.5012 0.9840
0.3333 0.6667 0.3320
0.3337 0.1669 0.3443
0.4988 0.5012 0.9840
0.4988 0.9976 0.9840
0.8331 0.1669 0.3443
0.8331 0.6663 0.3443
```

Top 10 peaks for 2θ = 5–70°, by intensity:
2.624 Å, intensity 1000; 2.266 Å, intensity 665; 7.782 Å, intensity 381; 5.575 Å, intensity 361; 2.594 Å, intensity 291; 4.532 Å, intensity 235; 1.368 Å, intensity 226; 1.595 Å, intensity 208; 1.609 Å, intensity 202; 2.974 Å, intensity 175

No. 12
Na2SmPCO7: computed XRD peak list (Cu Kα (weighted mean of Kα1 and Kα2)), based on a structure optimized by DFT (GGA-PBE).

Crystal structure
```
Na2SmPCO7
1.0
5.1329 0.0000 0.0000
0.0000 7.0867 0.0000
-0.0176 0.0000 9.5613
Na Sm P C O
4 2 2 2 14
Direct
0.2432 0.0122 0.2978
0.2432 0.4878 0.2978
0.7568 0.5122 0.7022
0.7568 0.9878 0.7022
0.2260 0.2500 0.8855
0.7740 0.7500 0.1145
0.2949 0.7500 0.9089
0.7051 0.2500 0.0911
0.2499 0.2500 0.5901
0.7501 0.7500 0.4099
0.0246 0.2500 0.6546
0.1627 0.5710 0.8496
0.1627 0.9290 0.8496
0.2653 0.7500 0.0732
0.2736 0.2500 0.4588
0.4063 0.2500 0.1194
0.4549 0.2500 0.6750
0.5451 0.7500 0.3250
0.5937 0.7500 0.8806
0.7264 0.7500 0.5412
0.7347 0.2500 0.9268
0.8373 0.0710 0.1504
0.8373 0.4290 0.1504
0.9754 0.7500 0.3454
```

Top 10 peaks for 2θ = 5–70°, by intensity:
9.561 Å, intensity 1000; 3.499 Å, intensity 476; 4.157 Å, intensity 345; 5.693 Å, intensity 332; 3.543 Å, intensity 279; 2.789 Å, intensity 258; 2.154 Å, intensity 181; 2.708 Å, intensity 171; 4.522 Å, intensity 169; 3.323 Å, intensity 163